This entry pairs a crystal structure of Rb3Mn16O32 with its theoretical powder diffraction line list. Radiation: CuKα. Structure: the GGA+U geometry in Alexandria.
Kinematic intensities with the Lorentz-polarization factor, no thermal factor.

Top 10 peaks for 15° ≤ 2θ ≤ 90°, by angle:
(hkl), 2theta, d [Å], I/Imax
1 1 -1, 17.59, 5.042, 243
2 0 -2, 25.11, 3.547, 212
-1 2 1, 27.85, 3.204, 266
1 2 -1, 27.97, 3.190, 1000
2 1 -2, 28.10, 3.176, 264
0 1 -4, 36.33, 2.473, 640
0 0 4, 40.60, 2.222, 199
3 0 1, 40.68, 2.218, 187
2 0 -6, 58.38, 1.581, 195
1 3 3, 67.09, 1.395, 196

a = 8.3740 Å, b = 8.4245 Å, c = 10.2471 Å
α = 112.13°, β = 101.89°, γ = 106.38°
Atoms (fractional coordinates):
Rb1 0.0000 0.0000 0.0000
Rb2 0.2956 0.9987 0.2950
Rb3 0.7044 0.0013 0.7050
Mn1 0.0138 0.1843 0.5016
Mn2 0.0473 0.4868 0.8642
Mn3 0.2032 0.5132 0.3868
Mn4 0.2341 0.8162 0.7484
Mn5 0.2623 0.1852 0.7530
Mn6 0.2962 0.4825 0.1128
Mn7 0.4540 0.5160 0.6378
Mn8 0.4871 0.8159 0.9971
Mn9 0.5129 0.1841 0.0029
Mn10 0.5460 0.4840 0.3622
Mn11 0.7038 0.5175 0.8872
Mn12 0.7377 0.8148 0.2470
Mn13 0.7659 0.1838 0.2516
Mn14 0.7968 0.4868 0.6132
Mn15 0.9527 0.5132 0.1358
Mn16 0.9862 0.8157 0.4984
O1 0.0351 0.3591 0.9895
O2 0.0423 0.6236 0.7492
O3 0.0744 0.9398 0.7180
O4 0.0864 0.2875 0.7185
O5 0.1578 0.7095 0.5313
O6 0.1669 0.0519 0.5320
O7 0.2087 0.3780 0.5035
O8 0.2101 0.6335 0.2566
O9 0.2901 0.3576 0.2436
O10 0.2941 0.6196 0.9971
O11 0.3296 0.9448 0.9707
O12 0.3354 0.2841 0.9694
O13 0.4109 0.7146 0.7805
O14 0.4145 0.0511 0.7813
O15 0.4571 0.3853 0.7569
O16 0.4574 0.6361 0.5033
O17 0.5426 0.3639 0.4967
O18 0.5429 0.6147 0.2431
O19 0.5855 0.9489 0.2187
O20 0.5891 0.2854 0.2195
O21 0.6646 0.7160 0.0306
O22 0.6704 0.0552 0.0293
O23 0.7059 0.3804 0.0029
O24 0.7099 0.6424 0.7564
O25 0.7899 0.3665 0.7434
O26 0.7913 0.6220 0.4965
O27 0.8331 0.9481 0.4680
O28 0.8422 0.2905 0.4687
O29 0.9136 0.7125 0.2815
O30 0.9256 0.0602 0.2820
O31 0.9577 0.3764 0.2508
O32 0.9649 0.6409 0.0105